The following is a calculated PXRD pattern of Zr2Mn2C. It was derived from a structure optimized by DFT (PBE), using a wavelength of 1.5418 Å.

Most intense lines, 15 to 90 degrees two-theta, low angle first:
h k l  2θ (°)  I_rel
1 1 0  22.93  78
2 0 0  32.65  242
0 0 2  37.53  331
2 1 1  41.34  1000
2 0 2  50.57  137
3 1 0  52.77  110
3 1 2  66.54  103
2 1 3  70.31  190
4 1 1  73.93  198
3 3 2  85.29  95

Structure:
```
Zr2Mn2C
1.0
5.486 0.000 0.000
0.000 5.486 0.000
0.000 0.000 4.793
Zr Mn C
4 4 2
Direct
0.176 0.324 0.000
0.324 0.824 0.000
0.676 0.176 0.000
0.824 0.676 0.000
0.165 0.665 0.500
0.335 0.165 0.500
0.665 0.835 0.500
0.835 0.335 0.500
0.000 0.000 0.500
0.500 0.500 0.500
```